Starting from a structure optimized by DFT (GGA-PBE), the powder diffraction line list of Ti8Al2Ir was computed for Cu Kα.

Peak list (10 most intense, 2θ = 10–90°, low angle first)
hkl 0 0 2, 2θ = 13.33°, d 6.643, I 22
hkl 0 1 1, 2θ = 15.80°, d 5.610, I 45
hkl 1 0 1, 2θ = 20.84°, d 4.262, I 16
hkl 0 1 3, 2θ = 24.72°, d 3.601, I 11
hkl 1 1 2, 2θ = 27.95°, d 3.192, I 34
hkl 1 1 4, 2θ = 36.63°, d 2.453, I 22
hkl 2 0 0, 2θ = 40.07°, d 2.250, I 25
hkl 1 2 3, 2θ = 40.83°, d 2.210, I 100
hkl 2 0 6, 2θ = 58.48°, d 1.578, I 10
hkl 3 2 3, 2θ = 73.32°, d 1.291, I 14

Structure:
Cell lengths 4.500, 6.188, 13.286 Å; angles 90.00, 90.00, 90.00 degrees
Space group Immm (No. 71)
Inequivalent atoms, fractional coordinates:
Ti 0.000 0.000 0.175
Ti 0.000 0.228 0.361
Ti 0.000 0.268 0.000
Al 0.000 0.500 0.189
Ir 0.000 0.500 0.500